Starting from DFT lattice parameters and positions (GGA-PBE), the powder X-ray diffraction pattern of NiPt4Au was simulated for λ = 1.5418 Å (Cu Kα).

Peak list (10 most intense, 2θ from 10° to 90°, in order of rising 2θ)
| (hkl) | 2θ (°) | Rel. int. |
| --- | --- | --- |
| 1 0 2 | 35.61 | 11 |
| 1 0 3 | 39.58 | 100 |
| 0 0 6 | 45.93 | 13 |
| 1 1 0 | 46.07 | 36 |
| 1 1 5 | 61.17 | 7 |
| 1 1 6 | 67.09 | 16 |
| 2 0 0 | 67.20 | 12 |
| 1 0 8 | 72.21 | 8 |
| 2 1 3 | 80.90 | 26 |
| 2 0 6 | 85.24 | 9 |

Cell and atoms:
a b c (Å): 2.786 2.786 11.854
angles (deg): 90.00 90.00 90.00
Space group P4/mmm (No. 123)
One atom of each set of equivalent atoms:
Ni  0.000  0.000  0.000 (multiplicity 1)
Pt  0.000  0.000  0.318 (multiplicity 2)
Pt  0.500  0.500  0.147 (multiplicity 2)
Au  0.500  0.500  0.500 (multiplicity 1)